# KB3Ir3
Computed powder diffractogram, copper Kα. Input: a cell relaxed with PBE.
Kinematic intensities with the Lorentz-polarization factor, no thermal factor.

Largest 8 diffraction maxima, in order of falling intensity, 2θ = 10–90°:
Position (°2θ)  I (rel.)
11.13  100
32.23  49
37.86  42
45.93  18
30.15  11
33.81  10
53.56  9
55.67  7

```
KB3Ir3
1.0
2.964 1.711 7.953
-2.964 1.711 7.953
0.000 -3.422 7.953
K B Ir
2 6 6
Direct
0.164 0.164 0.164
0.836 0.836 0.836
0.018 0.264 0.549
0.264 0.549 0.018
0.451 0.982 0.736
0.549 0.018 0.264
0.736 0.451 0.982
0.982 0.736 0.451
0.094 0.337 0.690
0.310 0.906 0.663
0.337 0.690 0.094
0.663 0.310 0.906
0.690 0.094 0.337
0.906 0.663 0.310
```